Structure and theoretical powder diffractogram of Si2Ni3H4O9 (DFT lattice parameters and positions (PBE+U); copper Kα).
Lines closer than 0.1° are merged.

```
data_Si2Ni3H4O9
_cell_length_a 5.3471
_cell_length_b 5.3471
_cell_length_c 7.4710
_cell_angle_alpha 90.00
_cell_angle_beta 90.00
_cell_angle_gamma 120.00
_space_group_name_H-M_alt 'P 3 1 m'
_space_group_IT_number 157
loop_
_space_group_symop_operation_xyz
'x,y,z'
'-y,x-y,z'
'-x+y,-x,z'
'y,x,z'
'x-y,-y,z'
'-x,-x+y,z'
loop_
_atom_site_label
_atom_site_type_symbol
_atom_site_fract_x
_atom_site_fract_y
_atom_site_fract_z
Si1 Si 0.3333 0.6667 0.0000
Ni1 Ni 0.0000 0.3323 0.6262
H1 H 0.0000 0.0000 0.8965
H2 H 0.0000 0.6498 0.3649
O1 O 0.0000 0.0000 0.7666
O2 O 0.0000 0.5136 0.0820
O3 O 0.0000 0.6631 0.4948
O4 O 0.3333 0.6667 0.7841
```

Principal peaks in the range 10° ≤ 2θ ≤ 90°, by intensity:
| hkl | two_theta | I/Imax |
| --- | --- | --- |
| 0 0 1 | 11.8 | 100 |
| 1 1 1 | 35.7 | 58 |
| 1 1 2 | 41.5 | 40 |
| 0 0 2 | 23.8 | 33 |
| 1 1 3 | 50.1 | 23 |
| 2 -1 4 | 60.5 | 18 |
| 3 0 0 | 59.9 | 14 |
| 3 0 1 | 61.3 | 12 |

---

Structure and theoretical powder diffractogram of BiMoO3 (DFT lattice parameters and positions (PBE+U); copper Kα).
Lines closer than 0.1° are merged.

```
data_BiMoO3
_cell_length_a 4.1166
_cell_length_b 4.1166
_cell_length_c 4.1166
_cell_angle_alpha 90.00
_cell_angle_beta 90.00
_cell_angle_gamma 90.00
_space_group_name_H-M_alt 'P m -3 m'
_space_group_IT_number 221
_space_group_name_Hall '-P 4 2 3'
loop_
_atom_site_label
_atom_site_type_symbol
_atom_site_fract_x
_atom_site_fract_y
_atom_site_fract_z
Bi1 Bi 0.0000 0.0000 0.0000
Mo1 Mo 0.5000 0.5000 0.5000
O1 O 0.0000 0.5000 0.5000
```

Principal peaks in the range 10° ≤ 2θ ≤ 90°, by intensity:
| hkl | two_theta | I/Imax |
| --- | --- | --- |
| 1 1 0 | 30.7 | 100 |
| 2 1 1 | 54.6 | 41 |
| 2 0 0 | 44.0 | 28 |
| 3 2 1 | 89.0 | 23 |
| 3 1 0 | 72.6 | 18 |
| 2 2 0 | 64.0 | 18 |
| 1 1 1 | 37.9 | 12 |
| 1 0 0 | 21.6 | 11 |

---

Structure and theoretical powder diffractogram of Li2Fe3F8 (DFT lattice parameters and positions (PBE+U); copper Kα).
Lines closer than 0.1° are merged.

```
data_Li2Fe3F8
_cell_length_a 6.1684
_cell_length_b 6.1684
_cell_length_c 15.3478
_cell_angle_alpha 90.00
_cell_angle_beta 90.00
_cell_angle_gamma 120.00
_space_group_name_H-M_alt 'R -3 m'
_space_group_IT_number 166
_space_group_name_Hall '-R 3 2"'
loop_
_atom_site_label
_atom_site_type_symbol
_atom_site_fract_x
_atom_site_fract_y
_atom_site_fract_z
Li1 Li 0.0000 0.0000 0.1330
Fe1 Fe 0.0000 0.5000 0.0000
F1 F 0.0000 0.0000 0.4040
F2 F 0.0189 0.5095 0.4111
```

Principal peaks in the range 10° ≤ 2θ ≤ 90°, by intensity:
| hkl | two_theta | I/Imax |
| --- | --- | --- |
| 0 0 3 | 17.3 | 100 |
| 2 0 2 | 35.6 | 75 |
| 2 0 5 | 45.0 | 63 |
| 0 1 2 | 20.3 | 30 |
| 0 2 7 | 54.1 | 28 |
| 2 2 0 | 60.0 | 26 |
| 1 0 1 | 17.6 | 25 |
| 2 2 3 | 63.0 | 17 |